For CrHgF6, a GGA+U-relaxed structure gives the simulated XRD peak list in this record (Cu Kα (weighted mean of Kα1 and Kα2)).
Lines closer than 0.1° are merged.

```
8
Lattice="2.6431 1.5260 4.8523 -2.6431 1.5260 4.8523 0.0000 -3.0520 4.8523" Properties=species:S:1:pos:R:3 pbc="T T T"
Cr 0.0000 0.0000 0.0000
Hg 0.0000 0.0000 7.2784
F -1.9055 0.1996 5.9329
F -1.1256 -1.5504 8.6240
F 0.7799 -1.7500 5.9329
F -0.7799 1.7500 8.6240
F 1.1256 1.5504 5.9329
F 1.9055 -0.1996 8.6240
```

Most intense lines, 10 to 90 degrees two-theta, in order of falling intensity:
| two_theta | intensity |
| --- | --- |
| 22.9 | 100 |
| 31.4 | 40 |
| 51.1 | 30 |
| 20.3 | 27 |
| 38.8 | 24 |
| 33.9 | 21 |
| 41.3 | 18 |
| 54.5 | 16 |
| 59.1 | 15 |
| 46.9 | 14 |


For K2CrHgF6, a GGA+U-relaxed structure gives the simulated XRD peak list in this record (Cu Kα (weighted mean of Kα1 and Kα2)).
Lines closer than 0.1° are merged.

```
10
Lattice="0.0000 4.4553 4.4553 4.4553 0.0000 4.4553 4.4553 4.4553 0.0000" Properties=species:S:1:pos:R:3 pbc="T T T"
K 2.2277 2.2277 2.2277
K 6.6830 6.6830 6.6830
Cr 0.0000 0.0000 0.0000
Hg 4.4553 4.4553 4.4553
F 4.4553 4.4553 1.9436
F 4.4553 1.9436 4.4553
F 6.9671 4.4553 4.4553
F 1.9436 4.4553 4.4553
F 4.4553 6.9671 4.4553
F 4.4553 4.4553 6.9671
```

Most intense lines, 10 to 90 degrees two-theta, in order of falling intensity:
| two_theta | intensity |
| --- | --- |
| 28.3 | 100 |
| 19.9 | 58 |
| 40.5 | 40 |
| 50.2 | 38 |
| 33.3 | 33 |
| 17.2 | 31 |
| 45.5 | 25 |
| 58.6 | 23 |
| 44.3 | 22 |
| 80.7 | 21 |


For Na2CrHgF6, a GGA+U-relaxed structure gives the simulated XRD peak list in this record (Cu Kα (weighted mean of Kα1 and Kα2)).
Lines closer than 0.1° are merged.

```
10
Lattice="0.0000 4.3939 4.3939 4.3939 0.0000 4.3939 4.3939 4.3939 0.0000" Properties=species:S:1:pos:R:3 pbc="T T T"
Na 2.1969 2.1969 2.1969
Na 6.5908 6.5908 6.5908
Cr 0.0000 0.0000 0.0000
Hg 4.3939 4.3939 4.3939
F 4.3939 4.3939 1.9353
F 4.3939 1.9353 4.3939
F 6.8525 4.3939 4.3939
F 1.9353 4.3939 4.3939
F 4.3939 6.8525 4.3939
F 4.3939 4.3939 6.8525
```

Most intense lines, 10 to 90 degrees two-theta, in order of falling intensity:
| two_theta | intensity |
| --- | --- |
| 20.2 | 100 |
| 28.7 | 99 |
| 41.1 | 43 |
| 33.8 | 42 |
| 46.2 | 42 |
| 17.5 | 41 |
| 50.9 | 38 |
| 45.0 | 27 |
| 59.5 | 25 |
| 82.1 | 22 |


For Rb2CrHgF6, a GGA+U-relaxed structure gives the simulated XRD peak list in this record (Cu Kα (weighted mean of Kα1 and Kα2)).
Lines closer than 0.1° are merged.

```
10
Lattice="0.0000 4.7074 4.7074 4.7074 0.0000 4.7074 4.7074 4.7074 0.0000" Properties=species:S:1:pos:R:3 pbc="T T T"
Rb 2.3537 2.3537 2.3537
Rb 7.0610 7.0610 7.0610
Cr 0.0000 0.0000 0.0000
Hg 4.7074 4.7074 4.7074
F 4.7074 4.7074 1.8706
F 4.7074 1.8706 4.7074
F 7.5442 4.7074 4.7074
F 1.8706 4.7074 4.7074
F 4.7074 7.5442 4.7074
F 4.7074 4.7074 7.5442
```

Most intense lines, 10 to 90 degrees two-theta, in order of falling intensity:
| two_theta | intensity |
| --- | --- |
| 26.8 | 100 |
| 47.3 | 37 |
| 38.2 | 32 |
| 75.6 | 23 |
| 62.4 | 22 |
| 31.5 | 19 |
| 55.2 | 19 |
| 41.8 | 15 |
| 16.3 | 13 |
| 18.9 | 12 |


For KCrF3, a GGA+U-relaxed structure gives the simulated XRD peak list in this record (Cu Kα (weighted mean of Kα1 and Kα2)).
Lines closer than 0.1° are merged.

```
10
Lattice="4.0884 -4.3802 0.0000 4.0884 4.3802 0.0000 -4.0700 0.0000 4.3465" Properties=species:S:1:pos:R:3 pbc="T T T"
K 4.0884 2.2018 0.0000
K 4.0884 -2.2018 0.0000
Cr -2.0350 0.0000 2.1732
Cr 2.0534 0.0000 2.1732
F 0.0106 0.0000 1.9043
F 2.0534 2.3636 2.1732
F 2.2919 0.0000 0.1722
F 1.8150 0.0000 4.1743
F 2.0534 -2.3636 2.1732
F 4.0963 0.0000 2.4421
```

Most intense lines, 10 to 90 degrees two-theta, in order of falling intensity:
| two_theta | intensity |
| --- | --- |
| 29.9 | 100 |
| 28.9 | 70 |
| 41.2 | 51 |
| 41.6 | 46 |
| 44.3 | 39 |
| 30.1 | 33 |
| 51.8 | 25 |
| 60.0 | 25 |
| 62.1 | 23 |
| 20.3 | 18 |


For KCrF6, a GGA+U-relaxed structure gives the simulated XRD peak list in this record (Cu Kα (weighted mean of Kα1 and Kα2)).
Lines closer than 0.1° are merged.

```
8
Lattice="3.7771 2.1807 2.4571 -3.7771 2.1807 2.4571 0.0000 -4.3614 2.4571" Properties=species:S:1:pos:R:3 pbc="T T T"
K 0.0000 0.0000 0.0000
Cr 0.0000 0.0000 3.6856
F -0.1616 -1.4621 2.6430
F -1.1854 0.8710 2.6430
F -1.3470 -0.5911 4.7283
F 1.3470 0.5911 2.6430
F 1.1854 -0.8710 4.7283
F 0.1616 1.4621 4.7283
```

Most intense lines, 10 to 90 degrees two-theta, in order of falling intensity:
| two_theta | intensity |
| --- | --- |
| 23.6 | 100 |
| 44.1 | 91 |
| 27.8 | 64 |
| 18.1 | 47 |
| 62.9 | 26 |
| 38.4 | 20 |
| 29.9 | 13 |
| 62.1 | 12 |
| 48.2 | 12 |
| 65.4 | 12 |